Computed powder X-ray diffraction pattern of Tb5SmY5 for Cu Kα X-rays, from a GGA-PBE-relaxed structure.

Peak list (12 most intense, 5° ≤ 2θ ≤ 70°, low angle first)
2θ = 7.69°, intensity 55
2θ = 28.77°, intensity 100
2θ = 29.21°, intensity 82
2θ = 30.25°, intensity 38
2θ = 33.20°, intensity 34
2θ = 34.77°, intensity 42
2θ = 35.56°, intensity 36
2θ = 37.40°, intensity 66
2θ = 37.65°, intensity 34
2θ = 46.66°, intensity 29
2θ = 51.52°, intensity 37
2θ = 60.57°, intensity 34

Cell and atoms:
Unit cell a=6.114 b=6.114 c=11.490 alpha=90.00 beta=90.00 gamma=120.00
Fractional coordinates of all 11 atoms:
Tb 0.000 0.000 0.235
Tb 0.000 0.000 0.765
Tb 0.337 0.169 0.000
Tb 0.831 0.169 0.000
Tb 0.831 0.663 0.000
Sm 0.333 0.667 0.500
Y 0.000 0.000 0.500
Y 0.333 0.667 0.176
Y 0.333 0.667 0.824
Y 0.667 0.333 0.339
Y 0.667 0.333 0.661

---

Computed powder X-ray diffraction pattern of Tb5SmY12 for Cu Kα X-rays, from a GGA-PBE-relaxed structure.

Peak list (12 most intense, 5° ≤ 2θ ≤ 70°, low angle first)
2θ = 11.69°, intensity 8
2θ = 23.51°, intensity 2
2θ = 25.62°, intensity 6
2θ = 30.66°, intensity 100
2θ = 35.55°, intensity 50
2θ = 37.54°, intensity 2
2θ = 39.00°, intensity 2
2θ = 43.05°, intensity 1
2θ = 51.16°, intensity 35
2θ = 58.05°, intensity 1
2θ = 60.83°, intensity 41
2θ = 63.85°, intensity 12

Cell and atoms:
Unit cell a=10.714 b=10.714 c=5.049 alpha=90.00 beta=90.00 gamma=90.10
Fractional coordinates of all 18 atoms:
Tb 0.000 0.000 0.000
Tb 0.167 0.833 0.500
Tb 0.333 0.667 0.000
Tb 0.667 0.333 0.000
Tb 0.833 0.167 0.500
Sm 0.500 0.500 0.500
Y 0.001 0.668 0.000
Y 0.166 0.166 0.500
Y 0.167 0.501 0.500
Y 0.332 0.999 0.000
Y 0.333 0.333 0.000
Y 0.499 0.833 0.500
Y 0.501 0.167 0.500
Y 0.667 0.667 0.000
Y 0.668 0.001 0.000
Y 0.833 0.499 0.500
Y 0.834 0.834 0.500
Y 0.999 0.332 0.000

---

Computed powder X-ray diffraction pattern of Tb6Sm5Y2 for Cu Kα X-rays, from a GGA-PBE-relaxed structure.

Peak list (12 most intense, 5° ≤ 2θ ≤ 70°, low angle first)
2θ = 26.28°, intensity 20
2θ = 29.10°, intensity 21
2θ = 30.84°, intensity 60
2θ = 31.31°, intensity 50
2θ = 31.48°, intensity 69
2θ = 31.99°, intensity 100
2θ = 34.07°, intensity 39
2θ = 34.89°, intensity 23
2θ = 36.40°, intensity 31
2θ = 50.74°, intensity 24
2θ = 60.55°, intensity 19
2θ = 60.96°, intensity 26

Cell and atoms:
Unit cell a=11.717 b=20.503 c=3.599 alpha=90.00 beta=90.00 gamma=90.00
Fractional coordinates of all 26 atoms:
Tb 0.060 0.081 0.000
Tb 0.081 0.368 0.000
Tb 0.175 0.636 0.500
Tb 0.325 0.136 0.500
Tb 0.419 0.868 0.000
Tb 0.440 0.581 0.000
Tb 0.560 0.419 0.000
Tb 0.581 0.132 0.000
Tb 0.675 0.864 0.500
Tb 0.825 0.364 0.500
Tb 0.919 0.632 0.000
Tb 0.940 0.919 0.000
Sm 0.000 0.500 0.500
Sm 0.089 0.226 0.500
Sm 0.199 0.949 0.500
Sm 0.301 0.449 0.500
Sm 0.411 0.726 0.500
Sm 0.500 0.000 0.500
Sm 0.589 0.274 0.500
Sm 0.699 0.551 0.500
Sm 0.801 0.051 0.500
Sm 0.911 0.774 0.500
Y 0.169 0.789 0.000
Y 0.331 0.289 0.000
Y 0.669 0.711 0.000
Y 0.831 0.211 0.000

---

Computed powder X-ray diffraction pattern of Tb5Sm2Y12 for Cu Kα X-rays, from a GGA-PBE-relaxed structure.

Peak list (12 most intense, 5° ≤ 2θ ≤ 70°, low angle first)
2θ = 15.32°, intensity 20
2θ = 28.70°, intensity 24
2θ = 28.88°, intensity 18
2θ = 29.63°, intensity 27
2θ = 30.23°, intensity 34
2θ = 30.70°, intensity 37
2θ = 30.90°, intensity 31
2θ = 31.04°, intensity 100
2θ = 31.24°, intensity 29
2θ = 32.29°, intensity 29
2θ = 33.40°, intensity 21
2θ = 33.74°, intensity 20

Cell and atoms:
Unit cell a=6.304 b=8.865 c=12.395 alpha=69.24 beta=81.68 gamma=73.57
Fractional coordinates of all 19 atoms:
Tb 0.000 0.000 0.000
Tb 0.197 0.605 0.508
Tb 0.235 0.580 0.002
Tb 0.765 0.420 0.998
Tb 0.803 0.395 0.492
Sm 0.254 0.001 0.469
Sm 0.746 0.999 0.531
Y 0.038 0.853 0.754
Y 0.147 0.430 0.801
Y 0.283 0.766 0.216
Y 0.309 0.158 0.671
Y 0.419 0.344 0.299
Y 0.425 0.154 0.070
Y 0.575 0.846 0.930
Y 0.581 0.656 0.701
Y 0.691 0.842 0.329
Y 0.717 0.234 0.784
Y 0.853 0.570 0.199
Y 0.962 0.147 0.246

---

Computed powder X-ray diffraction pattern of Tb3Sm4Y for Cu Kα X-rays, from a GGA-PBE-relaxed structure.

Peak list (12 most intense, 5° ≤ 2θ ≤ 70°, low angle first)
2θ = 28.17°, intensity 24
2θ = 31.07°, intensity 25
2θ = 32.25°, intensity 100
2θ = 42.43°, intensity 16
2θ = 49.81°, intensity 7
2θ = 49.88°, intensity 13
2θ = 56.03°, intensity 21
2θ = 58.25°, intensity 3
2θ = 59.88°, intensity 8
2θ = 59.94°, intensity 15
2θ = 60.63°, intensity 16
2θ = 67.49°, intensity 4

Cell and atoms:
Unit cell a=11.514 b=7.322 c=6.331 alpha=90.00 beta=90.00 gamma=90.00
Fractional coordinates of all 16 atoms:
Tb 0.000 0.124 0.000
Tb 0.250 0.124 0.333
Tb 0.250 0.876 0.833
Tb 0.500 0.876 0.500
Tb 0.750 0.124 0.333
Tb 0.750 0.876 0.833
Sm 0.000 0.374 0.499
Sm 0.000 0.626 0.000
Sm 0.249 0.374 0.832
Sm 0.251 0.626 0.332
Sm 0.500 0.374 0.500
Sm 0.500 0.626 0.999
Sm 0.749 0.626 0.332
Sm 0.751 0.374 0.832
Y 0.000 0.877 0.500
Y 0.500 0.123 0.000

---

Computed powder X-ray diffraction pattern of Tb3Sm3Y8 for Cu Kα X-rays, from a GGA-PBE-relaxed structure.

Peak list (12 most intense, 5° ≤ 2θ ≤ 70°, low angle first)
2θ = 23.61°, intensity 11
2θ = 28.89°, intensity 24
2θ = 29.62°, intensity 28
2θ = 30.50°, intensity 29
2θ = 31.50°, intensity 49
2θ = 31.68°, intensity 100
2θ = 33.66°, intensity 46
2θ = 44.41°, intensity 21
2θ = 56.20°, intensity 19
2θ = 57.49°, intensity 22
2θ = 59.87°, intensity 13
2θ = 62.12°, intensity 12

Cell and atoms:
Unit cell a=9.705 b=9.705 c=9.705 alpha=145.96 beta=112.19 gamma=78.09
Fractional coordinates of all 14 atoms:
Tb 0.000 0.000 0.000
Tb 0.297 0.000 0.297
Tb 0.703 0.000 0.703
Sm 0.319 0.819 0.500
Sm 0.500 0.500 0.000
Sm 0.681 0.181 0.500
Y 0.055 0.397 0.658
Y 0.062 0.221 0.841
Y 0.262 0.603 0.658
Y 0.380 0.221 0.159
Y 0.620 0.779 0.841
Y 0.738 0.397 0.342
Y 0.938 0.779 0.159
Y 0.945 0.603 0.342

---

Computed powder X-ray diffraction pattern of Tb4Sm5Y3 for Cu Kα X-rays, from a GGA-PBE-relaxed structure.

Peak list (12 most intense, 5° ≤ 2θ ≤ 70°, low angle first)
2θ = 15.93°, intensity 1
2θ = 18.89°, intensity 1
2θ = 30.49°, intensity 100
2θ = 35.32°, intensity 34
2θ = 35.42°, intensity 17
2θ = 50.82°, intensity 24
2θ = 50.92°, intensity 12
2θ = 60.42°, intensity 28
2θ = 60.53°, intensity 11
2θ = 60.60°, intensity 4
2θ = 63.42°, intensity 6
2θ = 63.50°, intensity 6

Cell and atoms:
Unit cell a=6.219 b=7.182 c=8.795 alpha=90.06 beta=90.14 gamma=90.16
Fractional coordinates of all 12 atoms:
Tb 0.166 0.000 0.166
Tb 0.333 0.249 0.834
Tb 0.667 0.751 0.166
Tb 0.834 0.000 0.834
Sm 0.001 0.249 0.501
Sm 0.167 0.500 0.166
Sm 0.500 0.000 0.500
Sm 0.833 0.500 0.834
Sm 0.999 0.751 0.499
Y 0.334 0.751 0.835
Y 0.500 0.500 0.500
Y 0.666 0.249 0.165

---

Computed powder X-ray diffraction pattern of Tb2Sm7Y2 for Cu Kα X-rays, from a GGA-PBE-relaxed structure.

Peak list (12 most intense, 5° ≤ 2θ ≤ 70°, low angle first)
2θ = 25.32°, intensity 22
2θ = 30.48°, intensity 25
2θ = 31.11°, intensity 41
2θ = 31.44°, intensity 100
2θ = 33.51°, intensity 28
2θ = 33.69°, intensity 24
2θ = 44.78°, intensity 13
2θ = 49.75°, intensity 11
2θ = 54.58°, intensity 9
2θ = 55.56°, intensity 12
2θ = 56.21°, intensity 7
2θ = 65.66°, intensity 9

Cell and atoms:
Unit cell a=8.111 b=8.111 c=6.118 alpha=105.84 beta=105.84 gamma=90.30
Fractional coordinates of all 11 atoms:
Tb 0.232 0.232 0.085
Tb 0.768 0.768 0.915
Sm 0.000 0.000 0.500
Sm 0.056 0.588 0.323
Sm 0.412 0.944 0.677
Sm 0.418 0.418 0.697
Sm 0.582 0.582 0.303
Sm 0.588 0.056 0.323
Sm 0.944 0.412 0.677
Y 0.215 0.785 0.000
Y 0.785 0.215 0.000

---

Computed powder X-ray diffraction pattern of Tb3Sm2Y5 for Cu Kα X-rays, from a GGA-PBE-relaxed structure.

Peak list (12 most intense, 5° ≤ 2θ ≤ 70°, low angle first)
2θ = 19.88°, intensity 19
2θ = 22.00°, intensity 17
2θ = 30.04°, intensity 81
2θ = 30.71°, intensity 100
2θ = 32.16°, intensity 31
2θ = 33.43°, intensity 45
2θ = 37.37°, intensity 26
2θ = 39.00°, intensity 21
2θ = 47.07°, intensity 21
2θ = 49.10°, intensity 20
2θ = 60.71°, intensity 21
2θ = 64.99°, intensity 21

Cell and atoms:
Unit cell a=9.697 b=9.697 c=9.362 alpha=108.44 beta=108.44 gamma=112.88
Fractional coordinates of all 20 atoms:
Tb 0.024 0.976 0.750
Tb 0.224 0.469 0.451
Tb 0.469 0.224 0.951
Tb 0.531 0.776 0.049
Tb 0.776 0.531 0.549
Tb 0.976 0.024 0.250
Sm 0.019 0.268 0.045
Sm 0.268 0.019 0.545
Sm 0.732 0.981 0.455
Sm 0.981 0.732 0.955
Y 0.138 0.380 0.764
Y 0.229 0.771 0.750
Y 0.274 0.726 0.250
Y 0.380 0.138 0.264
Y 0.474 0.526 0.250
Y 0.526 0.474 0.750
Y 0.620 0.862 0.736
Y 0.726 0.274 0.750
Y 0.771 0.229 0.250
Y 0.862 0.620 0.236

---

Computed powder X-ray diffraction pattern of Tb3Sm4Y5 for Cu Kα X-rays, from a GGA-PBE-relaxed structure.

Peak list (12 most intense, 5° ≤ 2θ ≤ 70°, low angle first)
2θ = 10.08°, intensity 2
2θ = 14.25°, intensity 1
2θ = 15.95°, intensity 2
2θ = 18.90°, intensity 1
2θ = 21.45°, intensity 1
2θ = 30.53°, intensity 100
2θ = 35.40°, intensity 50
2θ = 50.93°, intensity 36
2θ = 60.52°, intensity 28
2θ = 60.61°, intensity 14
2θ = 63.53°, intensity 9
2θ = 63.59°, intensity 3

Cell and atoms:
Unit cell a=6.214 b=7.175 c=8.779 alpha=90.08 beta=90.03 gamma=90.10
Fractional coordinates of all 12 atoms:
Tb 0.000 0.000 0.000
Tb 0.167 0.751 0.668
Tb 0.833 0.249 0.332
Sm 0.166 0.250 0.668
Sm 0.333 0.500 0.334
Sm 0.667 0.500 0.666
Sm 0.834 0.750 0.332
Y 0.000 0.500 0.000
Y 0.332 0.000 0.332
Y 0.499 0.751 0.000
Y 0.501 0.249 0.000
Y 0.668 0.000 0.668

---

Computed powder X-ray diffraction pattern of Tb3Sm4Y8 for Cu Kα X-rays, from a GGA-PBE-relaxed structure.

Peak list (12 most intense, 5° ≤ 2θ ≤ 70°, low angle first)
2θ = 7.48°, intensity 18
2θ = 25.47°, intensity 18
2θ = 26.58°, intensity 33
2θ = 29.64°, intensity 50
2θ = 30.24°, intensity 65
2θ = 31.20°, intensity 100
2θ = 34.28°, intensity 22
2θ = 34.50°, intensity 21
2θ = 35.91°, intensity 74
2θ = 51.05°, intensity 22
2θ = 52.32°, intensity 42
2θ = 61.62°, intensity 50

Cell and atoms:
Unit cell a=12.494 b=12.494 c=12.494 alpha=32.51 beta=32.51 gamma=32.51
Fractional coordinates of all 15 atoms:
Tb 0.000 0.500 0.500
Tb 0.500 0.000 0.500
Tb 0.500 0.500 0.000
Sm 0.000 0.000 0.000
Sm 0.164 0.164 0.164
Sm 0.500 0.500 0.500
Sm 0.836 0.836 0.836
Y 0.250 0.250 0.748
Y 0.250 0.748 0.250
Y 0.252 0.750 0.750
Y 0.255 0.255 0.255
Y 0.745 0.745 0.745
Y 0.748 0.250 0.250
Y 0.750 0.252 0.750
Y 0.750 0.750 0.252

---

Computed powder X-ray diffraction pattern of Tb5Sm12Y for Cu Kα X-rays, from a GGA-PBE-relaxed structure.

Peak list (6 most intense, 5° ≤ 2θ ≤ 70°, low angle first)
2θ = 8.17°, intensity 1
2θ = 30.35°, intensity 100
2θ = 35.19°, intensity 51
2θ = 50.61°, intensity 36
2θ = 60.16°, intensity 43
2θ = 63.14°, intensity 12

Cell and atoms:
Unit cell a=10.819 b=10.819 c=5.103 alpha=90.00 beta=90.00 gamma=90.00
Fractional coordinates of all 18 atoms:
Tb 0.000 0.000 0.000
Tb 0.167 0.167 0.500
Tb 0.333 0.333 0.000
Tb 0.667 0.667 0.000
Tb 0.833 0.833 0.500
Sm 0.001 0.332 0.000
Sm 0.166 0.834 0.500
Sm 0.167 0.499 0.500
Sm 0.332 0.001 0.000
Sm 0.334 0.666 0.000
Sm 0.499 0.167 0.500
Sm 0.501 0.833 0.500
Sm 0.666 0.334 0.000
Sm 0.668 0.999 0.000
Sm 0.833 0.501 0.500
Sm 0.834 0.166 0.500
Sm 0.999 0.668 0.000
Y 0.500 0.500 0.500